Entry 1:
For BaMgC2O4, a structure optimized by DFT (GGA-PBE) gives the simulated powder diffractogram in this record (Cu Kα, 1.54184 Å).

Largest 12 diffraction maxima, sorted by position, 2θ = 10–80°:
2theta  intensity
14.8  40
21.4  66
23.2  64
28.8  100
32.0  53
32.7  29
35.1  21
37.2  15
41.4  32
42.8  20
43.6  26
45.7  50

Atomic structure:
Unit cell a=4.4625 b=4.4625 c=6.4396 alpha=107.06 beta=107.06 gamma=72.63
Positions (direct):
Ba: 0.0000 0.0000 0.0000
Mg: 0.5000 0.5000 0.5000
C: 0.2686 0.2686 0.6801
C: 0.7314 0.7314 0.3199
O: 0.0214 0.6038 0.2796
O: 0.3962 0.9786 0.7204
O: 0.6038 0.0214 0.2796
O: 0.9786 0.3962 0.7204

***

Entry 2:
For AcNi3Ge2, a structure optimized by DFT (GGA-PBE) gives the simulated powder diffractogram in this record (Cu Kα, 1.54184 Å).

Largest 12 diffraction maxima, sorted by position, 2θ = 10–80°:
2theta  intensity
18.2  11
24.2  10
30.4  49
31.7  47
36.8  39
40.3  100
49.6  15
55.7  18
60.1  16
62.4  27
63.3  16
66.3  19

Atomic structure:
Unit cell a=5.6372 b=5.6372 c=3.6766 alpha=90.00 beta=90.00 gamma=120.00
Positions (direct):
Ac: 0.0000 0.0000 0.0000
Ni: 0.0000 0.5000 0.5000
Ni: 0.5000 0.0000 0.5000
Ni: 0.5000 0.5000 0.5000
Ge: 0.3333 0.6667 0.0000
Ge: 0.6667 0.3333 0.0000

***

Entry 3:
For InMoPb4, a structure optimized by DFT (GGA-PBE) gives the simulated powder diffractogram in this record (Cu Kα, 1.54184 Å).

Largest 12 diffraction maxima, sorted by position, 2θ = 10–80°:
2theta  intensity
17.0  32
27.9  11
32.8  100
34.3  63
39.8  17
43.5  10
49.3  5
52.5  36
57.5  35
60.5  8
67.8  12
68.7  26

Atomic structure:
Unit cell a=6.4061 b=6.4061 c=6.4061 alpha=60.00 beta=60.00 gamma=60.00
Positions (direct):
In: 0.0000 0.0000 0.0000
Mo: 0.7500 0.7500 0.7500
Pb: 0.3757 0.3757 0.3757
Pb: 0.3757 0.3757 0.8730
Pb: 0.3757 0.8730 0.3757
Pb: 0.8730 0.3757 0.3757

***

Entry 4:
For AlAg2TeSe4, a structure optimized by DFT (GGA-PBE) gives the simulated powder diffractogram in this record (Cu Kα, 1.54184 Å).

Largest 12 diffraction maxima, sorted by position, 2θ = 10–80°:
2theta  intensity
16.8  54
18.7  69
23.6  76
24.7  94
26.0  89
28.2  100
30.6  67
31.0  55
39.7  66
42.5  50
44.0  47
49.0  52

Atomic structure:
Unit cell a=5.9343 b=6.5178 c=6.8133 alpha=108.80 beta=109.92 gamma=99.91
Positions (direct):
Al: 0.0000 0.0000 0.0000
Ag: 0.2656 0.7162 0.4334
Ag: 0.3657 0.5321 0.0332
Te: 0.9530 0.2266 0.5490
Se: 0.1546 0.7310 0.7886
Se: 0.3565 0.3210 0.2911
Se: 0.6773 0.0973 0.7422
Se: 0.8545 0.8096 0.2124

***

Entry 5:
For Na2B3C, a structure optimized by DFT (GGA-PBE) gives the simulated powder diffractogram in this record (Cu Kα, 1.54184 Å).

Largest 12 diffraction maxima, sorted by position, 2θ = 10–80°:
2theta  intensity
34.6  12
36.0  17
40.6  50
41.9  100
42.1  37
55.6  6
56.6  10
62.9  18
65.6  8
76.0  6
76.8  19
78.6  17

Atomic structure:
Unit cell a=9.0775 b=9.0775 c=13.4646 alpha=112.47 beta=112.47 gamma=18.03
Positions (direct):
Na: 0.0000 0.0000 0.0000
Na: 0.0002 0.0002 0.4983
Na: 0.1971 0.1971 0.3992
Na: 0.1997 0.1997 0.9006
Na: 0.3976 0.3976 0.8035
Na: 0.3986 0.3986 0.2981
Na: 0.5985 0.5985 0.1985
Na: 0.6008 0.6008 0.7005
Na: 0.7977 0.7977 0.5998
Na: 0.7988 0.7988 0.0990
B: 0.0259 0.0259 0.3026
B: 0.1695 0.1695 0.0901
B: 0.2283 0.2283 0.7094
B: 0.3678 0.3678 0.4879
B: 0.4324 0.4324 0.1165
B: 0.4318 0.4318 0.6157
B: 0.5640 0.5640 0.8801
B: 0.5663 0.5663 0.3830
B: 0.6307 0.6307 0.0129
B: 0.6348 0.6348 0.5217
B: 0.7608 0.7608 0.2726
B: 0.7678 0.7678 0.7887
B: 0.8265 0.8265 0.4058
B: 0.8380 0.8380 0.9283
B: 0.9735 0.9735 0.6999
C: 0.0327 0.0327 0.8184
C: 0.1658 0.1658 0.5847
C: 0.2312 0.2312 0.2120
C: 0.3691 0.3691 0.9896
C: 0.9635 0.9635 0.1790

***

Entry 6:
For BiTePd, a structure optimized by DFT (GGA-PBE) gives the simulated powder diffractogram in this record (Cu Kα, 1.54184 Å).

Largest 11 diffraction maxima, sorted by position, 2θ = 10–80°:
2theta  intensity
22.6  23
26.1  32
37.3  100
44.0  12
46.1  10
53.7  18
59.0  5
60.7  13
67.2  36
71.9  4
79.4  11

Atomic structure:
Unit cell a=4.8259 b=4.8259 c=4.8259 alpha=60.00 beta=60.00 gamma=60.00
Positions (direct):
Bi: 0.0000 0.0000 0.0000
Te: 0.5000 0.5000 0.5000
Pd: 0.2500 0.2500 0.2500

***

Entry 7:
For Nb7Co6, a structure optimized by DFT (GGA-PBE) gives the simulated powder diffractogram in this record (Cu Kα, 1.54184 Å).

Largest 12 diffraction maxima, sorted by position, 2θ = 10–80°:
2theta  intensity
36.1  84
40.2  48
41.3  22
41.7  100
42.0  31
43.4  52
45.5  38
48.7  20
68.7  22
69.9  24
75.6  19
76.5  31

Atomic structure:
Unit cell a=9.2059 b=9.2059 c=9.2059 alpha=31.39 beta=31.39 gamma=31.39
Positions (direct):
Nb: 0.0000 0.0000 0.0000
Nb: 0.1663 0.1663 0.1663
Nb: 0.3465 0.3465 0.3465
Nb: 0.4501 0.4501 0.4501
Nb: 0.5499 0.5499 0.5499
Nb: 0.6535 0.6535 0.6535
Nb: 0.8337 0.8337 0.8337
Co: 0.0923 0.0923 0.5799
Co: 0.0923 0.5799 0.0923
Co: 0.4201 0.9077 0.9077
Co: 0.5799 0.0923 0.0923
Co: 0.9077 0.4201 0.9077
Co: 0.9077 0.9077 0.4201

***

Entry 8:
For CsZnGaAu3, a structure optimized by DFT (GGA-PBE) gives the simulated powder diffractogram in this record (Cu Kα, 1.54184 Å).

Largest 12 diffraction maxima, sorted by position, 2θ = 10–80°:
2theta  intensity
13.3  22
26.7  76
28.7  91
28.8  92
36.2  100
45.5  72
48.4  33
48.5  34
51.9  20
60.5  21
60.7  23
74.0  19

Atomic structure:
Unit cell a=7.5479 b=7.5479 c=6.9963 alpha=90.00 beta=90.00 gamma=124.35
Positions (direct):
Cs: 0.2445 0.7555 0.7500
Cs: 0.7555 0.2445 0.2500
Zn: 0.4589 0.5411 0.2500
Zn: 0.5411 0.4589 0.7500
Ga: 0.0760 0.9240 0.2500
Ga: 0.9240 0.0760 0.7500
Au: 0.2330 0.2330 0.0000
Au: 0.2330 0.2330 0.5000
Au: 0.2662 0.7338 0.2500
Au: 0.7338 0.2662 0.7500
Au: 0.7670 0.7670 0.0000
Au: 0.7670 0.7670 0.5000